# 1
TaNb5C6: computed PXRD pattern (Cu Kα X-rays), based on a structure optimized by DFT (PBE).
Kinematic intensities with the Lorentz-polarization factor, no thermal factor.

Top 6 peaks for 2θ from 10° to 90°, sorted by position:
34.50°, d 2.599, I = 100, hkl 2 0 0; 40.05°, d 2.251, I = 72, hkl 1 3 1; 57.92°, d 1.592, I = 39, hkl 0 6 0; 57.99°, d 1.590, I = 8, hkl 2 0 2; 69.20°, d 1.358, I = 30, hkl 2 6 0; 72.72°, d 1.300, I = 12, hkl 0 0 4

Crystal structure
Cell lengths 5.509, 9.555, 5.520 Å; angles 90.00, 109.54, 90.00 degrees
Space group C2/m (No. 12)
Unique sites:
Ta: 0.000 0.000 0.000
Nb: 0.000 0.168 0.500
Nb: 0.000 0.333 0.000
Nb: 0.000 0.500 0.500
C: 0.248 0.000 0.752
C: 0.248 0.165 0.248

=====

# 2
Ta3NbC3: computed PXRD pattern (Cu Kα X-rays), based on a structure optimized by DFT (PBE).
Kinematic intensities with the Lorentz-polarization factor, no thermal factor.

Top 6 peaks for 2θ from 10° to 90°, sorted by position:
33.48°, d 2.676, I = 79, hkl 1 2 0; 34.13°, d 2.627, I = 98, hkl 0 1 2; 35.24°, d 2.547, I = 84, hkl 2 0 0; 36.77°, d 2.444, I = 87, hkl 1 -1 2; 37.43°, d 2.403, I = 58, hkl 2 1 2; 38.53°, d 2.337, I = 100, hkl 1 -2 0

Crystal structure
Cell lengths 5.616, 5.869, 6.147 Å; angles 79.98, 66.73, 77.77 degrees
Space group P-1 (No. 2)
Unique sites:
Ta: 0.176 0.321 0.329
Ta: 0.228 0.858 0.113
Ta: 0.279 0.889 0.604
Nb: 0.296 0.381 0.771
C: 0.001 0.240 0.083
C: 0.254 0.609 0.434
C: 0.490 0.013 0.231

=====

# 3
TaNb2C: computed PXRD pattern (Cu Kα X-rays), based on a structure optimized by DFT (PBE).
Kinematic intensities with the Lorentz-polarization factor, no thermal factor.

Top 6 peaks for 2θ from 10° to 90°, sorted by position:
33.72°, d 2.658, I = 44, hkl 0 0 9; 33.96°, d 2.640, I = 100, hkl 1 0 1; 34.59°, d 2.593, I = 46, hkl 0 1 2; 45.69°, d 1.986, I = 54, hkl 0 1 8; 51.41°, d 1.777, I = 31, hkl 1 0 10; 70.95°, d 1.328, I = 36, hkl 0 0 18

Crystal structure
Cell lengths 3.0670, 3.0670, 23.9197 Å; angles 90.00, 90.00, 120.00 degrees
Space group R-3m (No. 166, hexagonal axes)
Unique sites:
Ta: 0.0000 0.0000 0.0000
Nb: 0.0000 0.0000 0.1134
C: 0.0000 0.0000 0.5000

=====

# 4
TaTiNbC3: computed PXRD pattern (Cu Kα X-rays), based on a structure optimized by DFT (PBE).
Kinematic intensities with the Lorentz-polarization factor, no thermal factor.

Top 6 peaks for 2θ from 10° to 90°, sorted by position:
34.73°, d 2.583, I = 69, hkl 1 1 0; 35.36°, d 2.538, I = 100, hkl 0 1 3; 36.12°, d 2.487, I = 82, hkl 1 1 1; 39.65°, d 2.273, I = 48, hkl 0 2 0; 41.20°, d 2.191, I = 59, hkl 1 0 3; 58.51°, d 1.578, I = 41, hkl 1 2 3

Crystal structure
Cell lengths 3.139, 4.546, 9.178 Å; angles 90.00, 90.00, 90.00 degrees
Space group Pmmn (No. 59, origin choice 2)
Unique sites:
Ta: 0.250 0.250 0.089
Ti: 0.250 0.750 0.520
Nb: 0.250 0.250 0.753
C: 0.250 0.084 0.335
C: 0.250 0.750 0.072

=====

# 5
Ta2Ti2NbC5: computed PXRD pattern (Cu Kα X-rays), based on a structure optimized by DFT (PBE).
Kinematic intensities with the Lorentz-polarization factor, no thermal factor.

Top 6 peaks for 2θ from 10° to 90°, sorted by position:
35.01°, d 2.563, I = 100, hkl 0 1 5; 35.12°, d 2.555, I = 33, hkl 0 0 15; 40.68°, d 2.218, I = 95, hkl 1 0 10; 58.82°, d 1.570, I = 31, hkl 1 1 0; 58.97°, d 1.566, I = 30, hkl 0 1 20; 70.37°, d 1.338, I = 40, hkl 2 0 5

Crystal structure
Cell lengths 3.1398, 3.1398, 38.3232 Å; angles 90.00, 90.00, 120.00 degrees
Space group R3m (No. 160, hexagonal axes)
Unique sites:
Ta: 0.0000 0.0000 0.0000
Ta: 0.0000 0.0000 0.4018
Ti: 0.0000 0.0000 0.1986
Ti: 0.0000 0.0000 0.8015
Nb: 0.0000 0.0000 0.5982
C: 0.0000 0.0000 0.1015
C: 0.0000 0.0000 0.2999
C: 0.0000 0.0000 0.4998
C: 0.0000 0.0000 0.7008
C: 0.0000 0.0000 0.8978

=====

# 6
UTaNb2C4: computed PXRD pattern (Cu Kα X-rays), based on a structure optimized by DFT (PBE).
Kinematic intensities with the Lorentz-polarization factor, no thermal factor.

Top 6 peaks for 2θ from 10° to 90°, sorted by position:
15.50°, d 5.719, I = 53, hkl 0 0 2; 31.11°, d 2.875, I = 58, hkl 0 4 0; 31.30°, d 2.858, I = 58, hkl 0 0 4; 32.76°, d 2.733, I = 94, hkl 1 1 2; 39.73°, d 2.268, I = 100, hkl 1 3 2; 44.71°, d 2.027, I = 42, hkl 0 4 4

Crystal structure
Cell lengths 3.233, 11.499, 11.432 Å; angles 90.00, 90.00, 90.00 degrees
Space group Cmcm (No. 63)
Unique sites:
U: 0.000 0.135 0.250
Ta: 0.000 0.134 0.750
Nb: 0.000 0.369 0.030
C: 0.000 0.000 0.000
C: 0.000 0.257 0.615
C: 0.000 0.480 0.250